Record 1
Structure and computed PXRD pattern of AlGaHgSe3S (a crystal structure in OQMD, relaxed with PBE; Cu Kα).
Peak positions follow from Bragg's law for the DFT cell and can differ from measured ones.

Largest 8 diffraction maxima, by angle, 15° ≤ 2θ ≤ 90°:
d [Å]	Position (°2θ)	I (rel.)
5.369	16.51	38.7
4.088	21.74	47.7
3.306	26.97	55.7
3.258	27.38	100.0
3.245	27.49	50.6
2.562	35.02	28.3
2.072	43.68	27.5
1.984	45.73	46.9

Cell lengths 5.795, 5.848, 6.732 Å; angles 64.28, 64.86, 89.21 degrees
Sites, in units of the cell vectors:
Al (0.000, 0.000, 0.000)
Ga (0.758, 0.247, 0.510)
Hg (0.253, 0.755, 0.506)
Se (0.130, 0.616, 0.225)
Se (0.383, 0.340, 0.793)
Se (0.656, 0.167, 0.225)
S (0.859, 0.897, 0.775)

=====

Record 2
Structure and computed PXRD pattern of BaMgAl4Cu2 (a crystal structure in OQMD, relaxed with PBE; Cu Kα).
Peak positions follow from Bragg's law for the DFT cell and can differ from measured ones.

Largest 8 diffraction maxima, by angle, 15° ≤ 2θ ≤ 90°:
d [Å]	Position (°2θ)	I (rel.)
4.442	19.99	74.1
2.881	31.04	100.0
2.665	33.63	73.7
2.657	33.74	62.0
2.337	38.52	52.9
2.223	40.58	77.5
1.848	49.30	79.3
1.814	50.28	61.3

Cell lengths 7.011, 11.575, 11.575 Å; angles 14.41, 90.00, 90.00 degrees
Sites, in units of the cell vectors:
Ba (0.000, 0.000, 0.000)
Mg (0.000, 0.828, 0.828)
Al (0.310, 0.182, 0.182)
Al (0.322, 0.898, 0.898)
Al (0.678, 0.898, 0.898)
Al (0.690, 0.182, 0.182)
Cu (0.000, 0.130, 0.130)
Cu (0.000, 0.236, 0.236)

=====

Record 3
Structure and computed PXRD pattern of ScAl8Zn4 (a crystal structure in OQMD, relaxed with PBE; Cu Kα).
Peak positions follow from Bragg's law for the DFT cell and can differ from measured ones.

Largest 8 diffraction maxima, by angle, 15° ≤ 2θ ≤ 90°:
d [Å]	Position (°2θ)	I (rel.)
4.599	19.30	87.8
3.252	27.43	42.3
2.299	39.18	69.9
2.282	39.50	40.0
2.231	40.44	100.0
2.057	44.03	56.2
2.007	45.18	69.0
1.601	57.57	30.2

Cell lengths 6.986, 6.986, 6.986 Å; angles 97.66, 97.66, 137.16 degrees
Sites, in units of the cell vectors:
Sc (0.000, 0.000, 0.000)
Al (0.000, 0.353, 0.353)
Al (0.000, 0.647, 0.647)
Al (0.287, 0.500, 0.787)
Al (0.353, 0.000, 0.353)
Al (0.500, 0.287, 0.787)
Al (0.500, 0.713, 0.213)
Al (0.647, 0.000, 0.647)
Al (0.713, 0.500, 0.213)
Zn (0.000, 0.000, 0.500)
Zn (0.000, 0.500, 0.000)
Zn (0.500, 0.000, 0.000)
Zn (0.500, 0.500, 0.500)

=====

Record 4
Structure and computed PXRD pattern of ZnNiGeTe3 (a crystal structure in OQMD, relaxed with PBE; Cu Kα).
Peak positions follow from Bragg's law for the DFT cell and can differ from measured ones.

Largest 8 diffraction maxima, by angle, 15° ≤ 2θ ≤ 90°:
d [Å]	Position (°2θ)	I (rel.)
3.117	28.63	39.7
2.851	31.37	75.7
2.633	34.05	38.5
2.582	34.75	100.0
2.054	44.10	33.6
1.962	46.28	27.2
1.900	47.89	20.8
1.717	53.37	28.2

Cell lengths 7.055, 7.055, 10.533 Å; angles 90.00, 90.00, 147.71 degrees
Sites, in units of the cell vectors:
Zn (0.027, 0.973, 0.750)
Zn (0.973, 0.027, 0.250)
Ni (0.500, 0.500, 0.000)
Ni (0.500, 0.500, 0.500)
Ge (0.272, 0.728, 0.250)
Ge (0.728, 0.272, 0.750)
Te (0.132, 0.868, 0.544)
Te (0.132, 0.868, 0.956)
Te (0.396, 0.604, 0.750)
Te (0.604, 0.396, 0.250)
Te (0.868, 0.132, 0.044)
Te (0.868, 0.132, 0.456)

=====

Record 5
Structure and computed PXRD pattern of Ho5Si4 (a crystal structure in OQMD, relaxed with PBE; Cu Kα).
Peak positions follow from Bragg's law for the DFT cell and can differ from measured ones.

Largest 8 diffraction maxima, by angle, 15° ≤ 2θ ≤ 90°:
d [Å]	Position (°2θ)	I (rel.)
3.243	27.50	49.1
2.935	30.46	47.9
2.781	32.18	67.5
2.741	32.67	100.0
2.633	34.05	72.1
2.616	34.28	44.2
2.415	37.23	38.9
1.593	57.91	48.8

Cell lengths 7.389, 14.497, 7.663 Å; angles 90.00, 90.00, 90.00 degrees
Sites, in units of the cell vectors:
Ho (0.026, 0.098, 0.183)
Ho (0.026, 0.402, 0.183)
Ho (0.151, 0.750, 0.512)
Ho (0.180, 0.123, 0.680)
Ho (0.180, 0.377, 0.680)
Ho (0.320, 0.623, 0.180)
Ho (0.320, 0.877, 0.180)
Ho (0.349, 0.250, 0.012)
Ho (0.474, 0.598, 0.683)
Ho (0.474, 0.902, 0.683)
Ho (0.526, 0.098, 0.317)
Ho (0.526, 0.402, 0.317)
Ho (0.651, 0.750, 0.988)
Ho (0.680, 0.123, 0.820)
Ho (0.680, 0.377, 0.820)
Ho (0.820, 0.623, 0.320)
Ho (0.820, 0.877, 0.320)
Ho (0.849, 0.250, 0.488)
Ho (0.974, 0.598, 0.817)
Ho (0.974, 0.902, 0.817)
Si (0.023, 0.750, 0.103)
Si (0.148, 0.540, 0.471)
Si (0.148, 0.960, 0.471)
Si (0.231, 0.250, 0.372)
Si (0.269, 0.750, 0.872)
Si (0.352, 0.040, 0.971)
Si (0.352, 0.460, 0.971)
Si (0.477, 0.250, 0.603)
Si (0.523, 0.750, 0.397)
Si (0.648, 0.540, 0.029)
Si (0.648, 0.960, 0.029)
Si (0.731, 0.250, 0.128)
Si (0.769, 0.750, 0.628)
Si (0.852, 0.040, 0.529)
Si (0.852, 0.460, 0.529)
Si (0.977, 0.250, 0.897)